Record 1
The following is a calculated PXRD pattern of CaAlCd3. It was derived from DFT lattice parameters and positions (PBE), using CuKα.
Neutral-atom scattering factors, no anomalous dispersion.

Main lines, by angle (5 to 70 degrees two-theta):
2θ/deg, I (rel.), h k l
18.7, 48, 1 1 0
19.5, 60, 0 0 1
27.2, 33, 2 0 0
32.3, 58, 1 1 1
32.7, 89, 0 2 1
33.3, 84, 2 0 -2
35.0, 100, 2 2 -1
38.0, 50, 2 2 0
41.9, 41, 2 0 1
43.0, 34, 1 3 -1

Unit cell a=7.857 b=6.857 c=5.452 alpha=90.00 beta=123.47 gamma=90.00
Space group Cm (No. 8)
One atom of each set of equivalent atoms:
1 Ca 0.000 0.000 0.000 x2
2 Al 0.294 0.000 0.743 x2
3 Cd 0.000 0.291 0.512 x4
4 Cd 0.178 0.500 0.213 x2

=====

Record 2
The following is a calculated PXRD pattern of Ca8Al2Cd. It was derived from DFT lattice parameters and positions (PBE), using CuKα.
Neutral-atom scattering factors, no anomalous dispersion.

Main lines, by angle (5 to 70 degrees two-theta):
2θ/deg, I (rel.), h k l
11.6, 28, 0 1 1
22.8, 24, 1 1 2
30.6, 38, 1 1 4
30.9, 23, 0 3 1
31.7, 100, 1 2 3
33.9, 28, 2 0 0
35.4, 18, 0 0 6
46.5, 15, 2 3 1
49.8, 13, 2 0 6
59.3, 15, 3 2 3

Unit cell a=5.289 b=8.852 c=15.229 alpha=90.00 beta=90.00 gamma=90.00
Space group Immm (No. 71)
One atom of each set of equivalent atoms:
1 Ca 0.000 0.000 0.142 x4
2 Ca 0.000 0.212 0.340 x8
3 Ca 0.000 0.318 0.000 x4
4 Al 0.000 0.500 0.194 x4
5 Cd 0.000 0.500 0.500 x2

=====

Record 3
The following is a calculated PXRD pattern of Ca7Al2Cd2. It was derived from DFT lattice parameters and positions (PBE), using CuKα.
Neutral-atom scattering factors, no anomalous dispersion.

Main lines, by angle (5 to 70 degrees two-theta):
2θ/deg, I (rel.), h k l
10.3, 69, 0 0 1
16.9, 29, 0 2 0
19.9, 47, 0 2 1
28.6, 42, 2 0 -2
29.3, 71, 2 2 -1
31.2, 29, 0 0 3
31.6, 100, 2 2 1
33.4, 62, 2 2 -2
34.3, 33, 0 4 0
35.7, 41, 0 2 3

Unit cell a=7.871 b=10.462 c=8.700 alpha=90.00 beta=98.50 gamma=90.00
Space group C2/m (No. 12)
One atom of each set of equivalent atoms:
1 Ca 0.000 0.000 0.000 x2
2 Ca 0.199 0.301 0.197 x8
3 Ca 0.248 0.000 0.428 x4
4 Al 0.110 0.500 0.895 x4
5 Cd 0.000 0.239 0.500 x4

=====

Record 4
The following is a calculated PXRD pattern of CaHoAlCd. It was derived from DFT lattice parameters and positions (PBE), using CuKα.
Neutral-atom scattering factors, no anomalous dispersion.

Main lines, by angle (5 to 70 degrees two-theta):
2θ/deg, I (rel.), h k l
11.4, 55, 0 0 1
27.1, 34, 1 0 1
33.8, 100, 1 0 2
35.0, 46, 1 1 0
36.9, 14, 1 1 1
42.9, 10, 1 0 3
46.8, 10, 0 0 4
50.3, 16, 2 0 0
59.7, 18, 1 1 4
62.0, 33, 2 1 2

Unit cell a=3.627 b=3.627 c=7.765 alpha=90.00 beta=90.00 gamma=90.00
Space group P4mm (No. 99)
One atom of each set of equivalent atoms:
1 Ca 0.000 0.000 0.000 x1
2 Ho 0.000 0.000 0.520 x1
3 Al 0.500 0.500 0.747 x1
4 Cd 0.500 0.500 0.266 x1